[1]
# AlInHgTe2Se2
Simulated powder X-ray diffraction pattern, Cu Kα X-rays. Input: the GGA-PBE geometry in OQMD.

Atomic structure:
abc: 6.025 6.085 7.292
angles: 113.39 113.80 90.07
Sites, in units of the cell vectors:
1 Al 0.000 0.000 0.000
2 In 0.769 0.228 0.501
3 Hg 0.503 0.476 0.004
4 Te 0.341 0.857 0.274
5 Te 0.606 0.642 0.727
6 Se 0.128 0.071 0.750
7 Se 0.918 0.354 0.254

Peak list (10 most intense, 2θ = 10–90°, by intensity)
- 42.23°, I = 100
- 25.42°, I = 81
- 25.26°, I = 79
- 25.86°, I = 64
- 42.77°, I = 63
- 25.65°, I = 60
- 34.04°, I = 40
- 41.75°, I = 38
- 26.91°, I = 38
- 16.39°, I = 31

[2]
# La2Al3Hg3
Simulated powder X-ray diffraction pattern, Cu Kα X-rays. Input: the GGA-PBE geometry in OQMD.

Atomic structure:
abc: 6.816 4.783 6.822
angles: 90.00 119.23 90.00
Sites, in units of the cell vectors:
1 La 0.000 0.000 0.000
2 La 0.333 0.500 0.674
3 Al 0.373 0.500 0.184
4 Al 0.503 0.000 0.040
5 Al 0.802 0.500 0.619
6 Hg 0.505 0.000 0.484
7 Hg 0.801 0.500 0.169
8 Hg 0.978 0.000 0.503

Peak list (10 most intense, 2θ = 10–90°, by intensity)
- 35.53°, I = 100
- 35.84°, I = 40
- 23.98°, I = 32
- 37.61°, I = 28
- 66.53°, I = 24
- 30.03°, I = 23
- 14.89°, I = 20
- 67.47°, I = 17
- 53.78°, I = 17
- 23.87°, I = 16

[3]
# LaAlHg
Simulated powder X-ray diffraction pattern, Cu Kα X-rays. Input: the GGA-PBE geometry in OQMD.

Atomic structure:
abc: 4.770 4.770 7.815
angles: 90.00 90.00 120.00
Sites, in units of the cell vectors:
1 La 0.000 0.000 0.000
2 La 0.000 0.000 0.500
3 Al 0.333 0.667 0.210
4 Al 0.333 0.667 0.790
5 Hg 0.667 0.333 0.279
6 Hg 0.667 0.333 0.721

Peak list (10 most intense, 2θ = 10–90°, by intensity)
- 31.52°, I = 100
- 37.72°, I = 52
- 21.51°, I = 36
- 49.94°, I = 28
- 64.24°, I = 26
- 61.34°, I = 17
- 89.04°, I = 12
- 68.09°, I = 9
- 40.96°, I = 8
- 86.46°, I = 7

[4]
# La2Al3Hg3
Simulated powder X-ray diffraction pattern, Cu Kα X-rays. Input: the GGA-PBE geometry in OQMD.

Atomic structure:
abc: 6.931 6.931 4.699
angles: 90.00 90.00 120.00
Sites, in units of the cell vectors:
1 La 0.000 0.000 0.000
2 La 0.333 0.667 0.500
3 Al 0.395 0.197 0.500
4 Al 0.803 0.197 0.500
5 Al 0.803 0.605 0.500
6 Hg 0.512 0.025 0.000
7 Hg 0.512 0.488 0.000
8 Hg 0.975 0.488 0.000

Peak list (10 most intense, 2θ = 10–90°, by intensity)
- 35.49°, I = 100
- 29.77°, I = 46
- 18.88°, I = 28
- 49.25°, I = 23
- 52.84°, I = 17
- 38.31°, I = 17
- 67.12°, I = 17
- 67.44°, I = 16
- 65.27°, I = 14
- 88.72°, I = 12

[5]
# La2AlHg5
Simulated powder X-ray diffraction pattern, Cu Kα X-rays. Input: the GGA-PBE geometry in OQMD.

Atomic structure:
abc: 5.036 6.862 6.862
angles: 59.96 90.00 90.00
Sites, in units of the cell vectors:
1 La 0.000 0.000 0.000
2 La 0.500 0.331 0.331
3 Al 0.500 0.812 0.812
4 Hg 0.000 0.505 0.505
5 Hg 0.000 0.522 0.986
6 Hg 0.000 0.986 0.522
7 Hg 0.500 0.347 0.830
8 Hg 0.500 0.830 0.347

Peak list (10 most intense, 2θ = 10–90°, by intensity)
- 35.07°, I = 100
- 30.08°, I = 26
- 35.65°, I = 22
- 65.89°, I = 21
- 53.42°, I = 19
- 63.67°, I = 18
- 65.52°, I = 16
- 47.32°, I = 15
- 89.40°, I = 14
- 14.91°, I = 8

[6]
# La2Al3Hg3
Simulated powder X-ray diffraction pattern, Cu Kα X-rays. Input: the GGA-PBE geometry in OQMD.

Atomic structure:
abc: 4.777 6.891 6.891
angles: 59.15 90.00 90.00
Sites, in units of the cell vectors:
1 La 0.000 0.000 0.000
2 La 0.500 0.343 0.343
3 Al 0.000 0.524 0.524
4 Al 0.500 0.383 0.803
5 Al 0.500 0.803 0.383
6 Hg 0.000 0.488 0.980
7 Hg 0.000 0.980 0.488
8 Hg 0.500 0.821 0.821

Peak list (10 most intense, 2θ = 10–90°, by intensity)
- 35.70°, I = 100
- 35.36°, I = 58
- 14.78°, I = 53
- 30.21°, I = 35
- 37.66°, I = 31
- 32.31°, I = 28
- 23.82°, I = 23
- 66.98°, I = 19
- 53.17°, I = 19
- 49.02°, I = 19